Record 1
Diffraction record for TiBr4. The powder XRD pattern is calculated, not measured: it uses DFT lattice parameters and positions (GGA-PBE) and λ = 1.5418 Å (Cu Kα).

Most intense lines, 2θ from 5° to 70°, most intense first:
2θ/deg, intensity
25.31, 100
16.13, 30
42.36, 28
28.71, 23
48.85, 22
41.06, 14
51.11, 12
30.47, 11
39.77, 11
53.72, 9

abc: 6.2182 6.2182 11.7345
angles: 90.00 90.00 90.00
Space group I-42m (No. 121)
Unique sites:
Ti 0.0000 0.0000 0.0000 [2 per cell]
Br 0.2170 0.2170 0.8850 [8 per cell]

---

Record 2
Diffraction record for TiBr4. The powder XRD pattern is calculated, not measured: it uses DFT lattice parameters and positions (GGA-PBE) and λ = 1.5418 Å (Cu Kα).

Most intense lines, 2θ from 5° to 70°, most intense first:
2θ/deg, intensity
25.41, 100
42.09, 41
29.42, 35
49.81, 32
17.89, 20
16.32, 19
67.20, 9
37.77, 6
51.00, 6
52.18, 6

abc: 12.1442 12.1442 12.1442
angles: 90.00 90.00 90.00
Space group Pa-3 (No. 205)
Unique sites:
Ti 0.1325 0.1325 0.1325 [8 per cell]
Br 0.0165 0.2435 0.0262 [24 per cell]
Br 0.2435 0.2435 0.2435 [8 per cell]

---

Record 3
Diffraction record for TiBr4. The powder XRD pattern is calculated, not measured: it uses DFT lattice parameters and positions (GGA-PBE) and λ = 1.5418 Å (Cu Kα).

Most intense lines, 2θ from 5° to 70°, most intense first:
2θ/deg, intensity
27.34, 100
27.02, 87
25.00, 85
26.79, 84
23.77, 77
45.47, 52
42.39, 51
14.51, 30
15.98, 30
24.26, 30

abc: 11.3138 7.3381 11.1849
angles: 90.00 101.40 90.00
Space group P2_1/c (No. 14)
Unique sites:
Ti 0.2492 0.0763 0.3640 [4 per cell]
Br 0.0789 0.0794 0.2070 [4 per cell]
Br 0.2031 0.5745 0.0331 [4 per cell]
Br 0.3083 0.1245 0.9173 [4 per cell]
Br 0.4057 0.5767 0.7978 [4 per cell]

---

Record 4
Diffraction record for Ti7Br16. The powder XRD pattern is calculated, not measured: it uses DFT lattice parameters and positions (GGA-PBE) and λ = 1.5418 Å (Cu Kα).

Most intense lines, 2θ from 5° to 70°, most intense first:
2θ/deg, intensity
33.84, 100
28.38, 56
29.71, 56
48.24, 51
33.35, 44
58.75, 28
14.08, 19
50.30, 14
46.86, 14
56.47, 13

abc: 10.7479 15.5099 7.2562
angles: 90.00 90.00 90.00
Space group Pnnm (No. 58)
Unique sites:
Ti 0.0000 0.0000 0.0000 [2 per cell]
Ti 0.0455 0.2618 0.0000 [4 per cell]
Ti 0.2499 0.3589 0.1977 [8 per cell]
Br 0.0071 0.1302 0.2480 [8 per cell]
Br 0.0202 0.3726 0.2495 [8 per cell]
Br 0.2195 0.7504 0.0000 [4 per cell]
Br 0.2255 0.7243 0.5000 [4 per cell]
Br 0.2384 0.9906 0.5000 [4 per cell]
Br 0.2408 0.9785 0.0000 [4 per cell]

---

Record 5
Diffraction record for Ti3Tl2Br9. The powder XRD pattern is calculated, not measured: it uses DFT lattice parameters and positions (GGA-PBE) and λ = 1.5418 Å (Cu Kα).

Most intense lines, 2θ from 5° to 70°, most intense first:
2θ/deg, intensity
29.11, 100
30.82, 74
31.10, 70
28.59, 70
35.35, 60
23.22, 46
17.47, 44
40.93, 37
49.68, 36
35.63, 36

abc: 10.9721 17.6788 10.0996
angles: 90.00 114.35 90.00
Space group C2/m (No. 12)
Unique sites:
Ti 0.1361 0.0000 0.3688 [4 per cell]
Ti 0.1406 0.0869 0.6436 [8 per cell]
Tl 0.1032 0.3360 0.8270 [8 per cell]
Br 0.0000 0.1999 0.5000 [4 per cell]
Br 0.0148 0.0991 0.8072 [8 per cell]
Br 0.1885 0.5000 0.1721 [4 per cell]
Br 0.1983 0.3016 0.1738 [8 per cell]
Br 0.2050 0.3953 0.4869 [8 per cell]
Br 0.2256 0.5000 0.7935 [4 per cell]

---

Record 6
Diffraction record for TiTlBr5. The powder XRD pattern is calculated, not measured: it uses DFT lattice parameters and positions (GGA-PBE) and λ = 1.5418 Å (Cu Kα).

Most intense lines, 2θ from 5° to 70°, most intense first:
2θ/deg, intensity
12.10, 100
28.91, 66
29.63, 45
30.14, 38
14.94, 38
23.66, 38
31.40, 30
41.26, 27
35.07, 24
22.11, 21

abc: 11.2680 9.6379 10.7689
angles: 90.00 93.83 90.00
Space group Cc (No. 9)
Unique sites:
Ti 0.0000 0.2416 0.0000 [4 per cell]
Tl 0.2531 0.4678 0.7696 [4 per cell]
Br 0.0655 0.4917 0.9974 [4 per cell]
Br 0.1856 0.1661 0.9267 [4 per cell]
Br 0.3463 0.2106 0.3400 [4 per cell]
Br 0.4335 0.4937 0.0200 [4 per cell]
Br 0.4697 0.2274 0.7193 [4 per cell]

---

Record 7
Diffraction record for TiTl3Br7. The powder XRD pattern is calculated, not measured: it uses DFT lattice parameters and positions (GGA-PBE) and λ = 1.5418 Å (Cu Kα).

Most intense lines, 2θ from 5° to 70°, most intense first:
2θ/deg, intensity
21.58, 100
28.26, 80
17.72, 78
31.60, 66
32.43, 63
36.71, 57
22.35, 57
34.72, 45
37.21, 43
37.93, 34

abc: 11.3585 9.9743 8.2876
angles: 90.00 118.21 90.00
Space group Cm (No. 8)
Unique sites:
Ti 0.0000 0.0000 0.0000 [2 per cell]
Tl 0.0126 0.2104 0.5106 [4 per cell]
Tl 0.4979 0.0000 0.9692 [2 per cell]
Br 0.1382 0.1826 0.2156 [4 per cell]
Br 0.1626 0.0000 0.8626 [2 per cell]
Br 0.3429 0.5000 0.1353 [2 per cell]
Br 0.3604 0.3213 0.7672 [4 per cell]
Br 0.4811 0.0000 0.5926 [2 per cell]

---

Record 8
Diffraction record for ZrTiTl2Br. The powder XRD pattern is calculated, not measured: it uses DFT lattice parameters and positions (GGA-PBE) and λ = 1.5418 Å (Cu Kα).

Most intense lines, 2θ from 5° to 70°, most intense first:
2θ/deg, intensity
28.17, 100
31.43, 77
17.27, 54
47.70, 48
36.08, 36
53.98, 33
34.94, 29
45.04, 29
58.25, 27
15.57, 18

abc: 5.6926 5.6926 5.1354
angles: 90.00 90.00 90.00
Space group P4/mmm (No. 123)
Unique sites:
Zr 0.0000 0.0000 0.0000 [1 per cell]
Ti 0.5000 0.5000 0.5000 [1 per cell]
Tl 0.0000 0.5000 0.0000 [2 per cell]
Br 0.0000 0.0000 0.5000 [1 per cell]

---

Record 9
Diffraction record for ZrTiBr4. The powder XRD pattern is calculated, not measured: it uses DFT lattice parameters and positions (GGA-PBE) and λ = 1.5418 Å (Cu Kα).

Most intense lines, 2θ from 5° to 70°, most intense first:
2θ/deg, intensity
11.74, 100
33.18, 94
32.57, 46
43.94, 36
30.45, 23
50.26, 22
28.84, 16
42.10, 16
40.39, 14
52.72, 14

abc: 15.2936 3.4724 6.3905
angles: 90.00 99.57 90.00
Space group Cm (No. 8)
Unique sites:
Zr 0.0000 0.0000 0.0000 [2 per cell]
Ti 0.4954 0.0000 0.6150 [2 per cell]
Br 0.0932 0.0000 0.4309 [2 per cell]
Br 0.1310 0.5000 0.9302 [2 per cell]
Br 0.3694 0.5000 0.6583 [2 per cell]
Br 0.3944 0.0000 0.1873 [2 per cell]

---

Record 10
Diffraction record for Tl3Br. The powder XRD pattern is calculated, not measured: it uses DFT lattice parameters and positions (GGA-PBE) and λ = 1.5418 Å (Cu Kα).

Most intense lines, 2θ from 5° to 70°, most intense first:
2θ/deg, intensity
33.00, 100
28.64, 32
53.56, 26
60.96, 23
29.63, 22
52.58, 18
41.68, 18
63.49, 16
20.49, 9
67.68, 4

abc: 6.9628 6.9628 6.2334
angles: 90.00 90.00 120.00
Space group P6_3/mmc (No. 194)
Unique sites:
Tl 0.1670 0.3340 0.2500 [6 per cell]
Br 0.3333 0.6667 0.7500 [2 per cell]

---

Record 11
Diffraction record for Tl6Br. The powder XRD pattern is calculated, not measured: it uses DFT lattice parameters and positions (GGA-PBE) and λ = 1.5418 Å (Cu Kα).

Most intense lines, 2θ from 5° to 70°, most intense first:
2θ/deg, intensity
25.23, 100
14.49, 76
35.98, 72
38.97, 64
41.78, 47
20.54, 41
60.57, 32
32.75, 22
66.67, 20
58.46, 20

abc: 8.6476 8.6476 8.6476
angles: 90.00 90.00 90.00
Space group Im-3m (No. 229)
Unique sites:
Tl 0.0000 0.2500 0.5000 [12 per cell]
Br 0.0000 0.0000 0.0000 [2 per cell]